No. 1
Theoretical powder diffractogram
Compound: Sc3NiSn2
Radiation: Cu Kα (λ = 1.5418 Å)
Structure: the GGA-PBE geometry in Alexandria
Kinematic intensities with the Lorentz-polarization factor, no thermal factor.

Structural model:
```
Sc3NiSn2
1.0
11.424 0.000 0.000
0.000 4.358 0.000
0.000 0.000 10.323
Sc Ni Sn
12 4 8
Cartesian
0.631 1.089 1.474 Sc
1.640 3.268 5.886 Sc
2.711 1.089 8.258 Sc
3.001 3.268 3.097 Sc
4.072 1.089 0.725 Sc
5.081 3.268 6.635 Sc
6.343 1.089 3.688 Sc
7.352 3.268 9.598 Sc
8.423 1.089 7.226 Sc
8.713 3.268 2.064 Sc
9.783 1.089 4.437 Sc
10.793 3.268 8.849 Sc
1.287 1.089 4.109 Ni
4.425 3.268 9.270 Ni
6.999 1.089 1.053 Ni
10.137 3.268 6.214 Ni
0.011 1.089 6.923 Sn
2.037 3.268 0.027 Sn
3.674 1.089 5.188 Sn
5.701 3.268 1.761 Sn
5.723 1.089 8.562 Sn
7.749 3.268 5.135 Sn
9.386 1.089 10.296 Sn
11.413 3.268 3.400 Sn
```

The 8 most intense peaks (2θ from 10° to 90°), low angle first:
d [Å], 2θ (°), I_rel
3.788, 23.49, 40
3.294, 27.07, 42
2.877, 31.09, 37
2.628, 34.11, 38
2.507, 35.82, 72
2.327, 38.69, 56
2.179, 41.43, 100
1.816, 50.24, 40

---

No. 2
Theoretical powder diffractogram
Compound: CeUGa5Ir2
Radiation: Cu Kα (λ = 1.5418 Å)
Structure: the GGA-PBE geometry in Alexandria
Kinematic intensities with the Lorentz-polarization factor, no thermal factor.

Structural model:
```
CeUGa5Ir2
1.0
4.769 0.000 0.000
0.000 4.769 0.000
0.000 0.000 7.834
Ce U Ga Ir
1 1 5 2
Cartesian
0.000 0.000 0.000 Ce
0.000 0.000 3.917 U
0.000 2.385 1.987 Ga
0.000 2.385 5.848 Ga
2.385 0.000 1.987 Ga
2.385 0.000 5.848 Ga
2.385 2.385 0.000 Ga
2.385 2.385 2.556 Ir
2.385 2.385 5.278 Ir
```

The 8 most intense peaks (2θ from 10° to 90°), low angle first:
d [Å], 2θ (°), I_rel
3.372, 26.43, 55
3.027, 29.51, 80
2.556, 35.11, 53
2.385, 37.72, 100
2.291, 39.33, 42
1.873, 48.60, 41
1.686, 54.41, 35
1.652, 55.64, 31

---

No. 3
Theoretical powder diffractogram
Compound: Ce4Tl5
Radiation: Cu Kα (λ = 1.5418 Å)
Structure: the GGA-PBE geometry in Alexandria
Kinematic intensities with the Lorentz-polarization factor, no thermal factor.

Structural model:
```
Ce4Tl5
1.0
9.597 0.000 0.000
-4.798 8.311 0.000
0.000 0.000 6.609
Ce Tl
8 10
Cartesian
0.000 0.000 0.000 Ce
0.000 0.000 3.304 Ce
-1.756 3.041 1.652 Ce
-3.043 5.270 4.957 Ce
3.512 0.000 1.652 Ce
1.756 3.041 4.957 Ce
6.085 0.000 4.957 Ce
3.043 5.270 1.652 Ce
-1.453 2.517 4.957 Tl
-3.345 5.794 1.652 Tl
2.907 0.000 4.957 Tl
1.453 2.517 1.652 Tl
0.000 5.541 0.000 Tl
0.000 5.541 3.304 Tl
4.798 2.770 0.000 Tl
4.798 2.770 3.304 Tl
6.690 0.000 1.652 Tl
3.345 5.794 4.957 Tl
```

The 8 most intense peaks (2θ from 10° to 90°), low angle first:
d [Å], 2θ (°), I_rel
2.837, 31.53, 17
2.770, 32.32, 100
2.721, 32.91, 97
1.941, 46.79, 33
1.599, 57.63, 14
1.590, 58.01, 31
1.419, 65.82, 26
1.235, 77.27, 15

---

No. 4
Theoretical powder diffractogram
Compound: Ca2Ac2La3
Radiation: Cu Kα (λ = 1.5418 Å)
Structure: the GGA-PBE geometry in Alexandria
Kinematic intensities with the Lorentz-polarization factor, no thermal factor.

Structural model:
```
Ca2Ac2La3
1.0
2.890 -13.074 0.000
2.890 13.074 0.000
0.000 0.000 3.750
Ca Ac La
2 2 3
Cartesian
2.890 7.521 0.000 Ca
2.890 -7.521 0.000 Ca
2.890 3.709 1.875 Ac
2.890 -3.709 1.875 Ac
2.890 11.285 0.000 La
2.890 0.000 1.875 La
2.890 -11.285 0.000 La
```

The 8 most intense peaks (2θ from 10° to 90°), low angle first:
d [Å], 2θ (°), I_rel
3.137, 28.45, 95
3.124, 28.58, 100
2.890, 30.94, 38
2.843, 31.47, 35
2.464, 36.47, 29
1.875, 48.55, 37
1.711, 53.55, 34
1.610, 57.24, 27

---

No. 5
Theoretical powder diffractogram
Compound: Li2AlGa9
Radiation: Cu Kα (λ = 1.5418 Å)
Structure: the GGA-PBE geometry in Alexandria
Kinematic intensities with the Lorentz-polarization factor, no thermal factor.

Structural model:
```
Li2AlGa9
1.0
4.153 0.000 0.000
0.000 4.153 0.000
0.000 0.000 12.063
Li Al Ga
2 1 9
Cartesian
0.000 0.000 1.931 Li
0.000 0.000 10.131 Li
0.000 0.000 6.031 Al
0.000 2.076 0.000 Ga
0.000 2.076 3.976 Ga
0.000 2.076 8.087 Ga
2.076 0.000 0.000 Ga
2.076 0.000 3.976 Ga
2.076 0.000 8.087 Ga
2.076 2.076 2.015 Ga
2.076 2.076 6.031 Ga
2.076 2.076 10.047 Ga
```

The 8 most intense peaks (2θ from 10° to 90°), low angle first:
d [Å], 2θ (°), I_rel
4.153, 21.40, 15
2.889, 30.96, 12
2.371, 37.94, 100
2.076, 43.59, 34
2.010, 45.10, 15
1.444, 64.52, 20
1.248, 76.27, 24
1.219, 78.44, 11

---

No. 6
Theoretical powder diffractogram
Compound: Ta2Pt3Se8
Radiation: Cu Kα (λ = 1.5418 Å)
Structure: the GGA-PBE geometry in Alexandria
Kinematic intensities with the Lorentz-polarization factor, no thermal factor.

Structural model:
```
Ta2Pt3Se8
1.0
11.190 0.000 0.000
0.000 15.422 0.000
0.000 0.000 3.614
Ta Pt Se
4 6 16
Cartesian
2.176 1.946 0.000 Ta
3.418 9.657 0.000 Ta
7.771 5.765 0.000 Ta
9.013 13.476 0.000 Ta
0.000 0.000 1.807 Pt
1.689 11.174 1.807 Pt
3.905 3.463 1.807 Pt
5.595 7.711 1.807 Pt
7.284 11.959 1.807 Pt
9.500 4.248 1.807 Pt
0.288 2.448 1.807 Se
0.824 9.682 0.000 Se
2.468 0.040 1.807 Se
2.536 4.513 0.000 Se
3.059 12.223 0.000 Se
3.127 7.751 1.807 Se
4.771 1.971 0.000 Se
5.306 10.159 1.807 Se
5.883 5.263 1.807 Se
6.419 13.451 0.000 Se
8.063 7.671 1.807 Se
8.131 3.198 0.000 Se
8.653 10.909 0.000 Se
8.721 15.382 1.807 Se
10.365 5.740 0.000 Se
10.901 12.974 1.807 Se
```

The 8 most intense peaks (2θ from 10° to 90°), low angle first:
d [Å], 2θ (°), I_rel
6.349, 13.95, 100
2.979, 30.00, 30
2.636, 34.01, 68
2.560, 35.06, 23
2.190, 41.23, 39
2.126, 42.51, 27
2.059, 43.98, 39
1.807, 50.51, 23

---

No. 7
Theoretical powder diffractogram
Compound: CaPuCu
Radiation: Cu Kα (λ = 1.5418 Å)
Structure: the GGA-PBE geometry in Alexandria
Kinematic intensities with the Lorentz-polarization factor, no thermal factor.

Structural model:
```
CaPuCu
1.0
2.993 -6.771 0.000
2.993 6.771 0.000
0.000 0.000 7.963
Ca Pu Cu
4 4 4
Cartesian
2.993 4.132 7.135 Ca
2.993 2.639 3.153 Ca
2.993 -2.639 4.810 Ca
2.993 -4.132 0.829 Ca
1.497 0.592 5.973 Pu
1.497 -0.592 1.991 Pu
4.490 0.592 5.973 Pu
4.490 -0.592 1.991 Pu
2.993 5.383 4.397 Cu
2.993 1.388 0.415 Cu
2.993 -1.388 7.548 Cu
2.993 -5.383 3.566 Cu
```

The 8 most intense peaks (2θ from 10° to 90°), low angle first:
d [Å], 2θ (°), I_rel
6.771, 13.08, 100
3.432, 25.96, 46
3.116, 28.65, 48
2.738, 32.71, 32
2.589, 34.65, 31
2.393, 37.59, 45
2.256, 39.96, 35
2.159, 41.85, 28

---

No. 8
Theoretical powder diffractogram
Compound: Dy2YTm7
Radiation: Cu Kα (λ = 1.5418 Å)
Structure: the GGA-PBE geometry in Alexandria
Kinematic intensities with the Lorentz-polarization factor, no thermal factor.

Structural model:
```
Dy2YTm7
1.0
-2.680 3.477 8.237
2.680 -3.477 8.237
2.680 3.477 -8.237
Dy Y Tm
2 1 7
Cartesian
0.000 0.000 3.276 Dy
0.000 0.000 13.197 Dy
0.000 3.477 0.000 Y
0.000 0.000 0.000 Tm
2.680 1.734 -1.812 Tm
2.680 0.000 4.934 Tm
2.680 1.734 1.812 Tm
0.000 1.743 6.425 Tm
0.000 3.477 3.303 Tm
0.000 1.743 10.048 Tm
```

The 8 most intense peaks (2θ from 10° to 90°), low angle first:
d [Å], 2θ (°), I_rel
2.873, 31.13, 85
2.807, 31.88, 100
2.680, 33.43, 46
2.657, 33.74, 42
2.576, 34.82, 23
1.887, 48.23, 31
1.571, 58.78, 18
1.478, 62.88, 36

---

No. 9
Theoretical powder diffractogram
Compound: RbMg14Cu
Radiation: Cu Kα (λ = 1.5418 Å)
Structure: the GGA-PBE geometry in Alexandria
Kinematic intensities with the Lorentz-polarization factor, no thermal factor.

Structural model:
```
RbMg14Cu
1.0
10.602 0.000 0.000
0.000 3.180 5.731
0.000 -3.180 5.731
Rb Mg Cu
1 14 1
Cartesian
0.000 0.000 0.000 Rb
0.000 -1.564 2.846 Mg
0.000 1.564 2.846 Mg
2.339 0.000 7.164 Mg
2.719 -1.553 4.378 Mg
2.719 1.553 4.378 Mg
2.874 0.000 1.619 Mg
5.301 0.000 5.402 Mg
5.301 -1.539 8.260 Mg
5.301 1.539 8.260 Mg
5.301 0.000 11.097 Mg
7.728 0.000 1.619 Mg
7.884 -1.553 4.378 Mg
7.884 1.553 4.378 Mg
8.263 0.000 7.164 Mg
0.000 0.000 5.118 Cu
```

The 8 most intense peaks (2θ from 10° to 90°), low angle first:
d [Å], 2θ (°), I_rel
5.042, 17.59, 16
2.782, 32.18, 42
2.651, 33.82, 44
2.521, 35.61, 59
2.463, 36.49, 100
1.919, 47.38, 22
1.492, 62.24, 19
1.345, 69.95, 15

---

No. 10
Theoretical powder diffractogram
Compound: Pm2Mg2Pt15
Radiation: Cu Kα (λ = 1.5418 Å)
Structure: the GGA-PBE geometry in Alexandria
Kinematic intensities with the Lorentz-polarization factor, no thermal factor.

Structural model:
```
Pm2Mg2Pt15
1.0
4.633 2.675 4.549
-4.633 2.675 4.549
0.000 -5.350 4.549
Pm Mg Pt
2 2 15
Cartesian
0.000 0.000 2.029 Pm
0.000 0.000 11.620 Pm
0.000 0.000 5.439 Mg
0.000 0.000 8.210 Mg
-2.316 -1.337 4.549 Pt
0.000 -2.684 4.418 Pt
-2.324 1.342 4.418 Pt
-1.443 -2.500 6.824 Pt
-2.886 0.000 6.824 Pt
-2.324 -1.342 9.231 Pt
-2.316 1.337 9.099 Pt
1.443 -2.500 6.824 Pt
0.000 2.675 4.549 Pt
-1.443 2.500 6.824 Pt
2.324 1.342 4.418 Pt
2.886 0.000 6.824 Pt
1.443 2.500 6.824 Pt
2.324 -1.342 9.231 Pt
0.000 2.684 9.231 Pt
```

The 8 most intense peaks (2θ from 10° to 90°), low angle first:
d [Å], 2θ (°), I_rel
4.633, 19.16, 50
2.316, 38.88, 32
2.306, 39.06, 100
2.275, 39.62, 39
2.064, 43.86, 78
1.462, 63.63, 21
1.338, 70.39, 24
1.153, 83.93, 24

---

No. 11
Theoretical powder diffractogram
Compound: Ca3SbPd3
Radiation: Cu Kα (λ = 1.5418 Å)
Structure: the GGA-PBE geometry in Alexandria
Kinematic intensities with the Lorentz-polarization factor, no thermal factor.

Structural model:
```
Ca3SbPd3
1.0
2.188 -5.303 0.000
2.188 5.303 0.000
0.000 0.000 14.300
Ca Sb Pd
6 2 6
Cartesian
2.188 5.138 10.725 Ca
2.188 2.180 8.635 Ca
2.188 2.180 12.816 Ca
2.188 -2.180 1.485 Ca
2.188 -2.180 5.665 Ca
2.188 -5.138 3.575 Ca
0.000 0.000 0.000 Sb
0.000 0.000 7.150 Sb
2.188 2.435 3.575 Pd
2.188 0.887 1.351 Pd
2.188 0.887 5.799 Pd
2.188 -0.887 8.501 Pd
2.188 -0.887 12.950 Pd
2.188 -2.435 10.725 Pd
```

The 8 most intense peaks (2θ from 10° to 90°), low angle first:
d [Å], 2θ (°), I_rel
4.972, 17.84, 27
4.259, 20.86, 60
3.893, 22.85, 30
2.750, 32.56, 33
2.679, 33.45, 80
2.382, 37.76, 100
2.188, 41.26, 39
2.053, 44.10, 31

---

No. 12
Theoretical powder diffractogram
Compound: Zr3V4Fe4
Radiation: Cu Kα (λ = 1.5418 Å)
Structure: the GGA-PBE geometry in Alexandria
Kinematic intensities with the Lorentz-polarization factor, no thermal factor.

Structural model:
```
Zr3V4Fe4
1.0
-3.513 3.513 3.513
3.513 -3.513 3.513
3.513 3.513 -3.513
Zr V Fe
3 4 4
Cartesian
3.513 0.000 0.000 Zr
0.000 3.513 0.000 Zr
0.000 0.000 3.513 Zr
1.041 1.041 -1.041 V
1.041 -1.041 1.041 V
-1.041 1.041 1.041 V
2.471 2.471 2.471 V
2.233 2.233 -2.233 Fe
2.233 -2.233 2.233 Fe
1.280 1.280 1.280 Fe
-2.233 2.233 2.233 Fe
```

The 8 most intense peaks (2θ from 10° to 90°), low angle first:
d [Å], 2θ (°), I_rel
2.868, 31.18, 38
2.484, 36.16, 100
2.222, 40.61, 80
1.656, 55.49, 28
1.571, 58.78, 35
1.498, 61.95, 19
1.205, 79.56, 16
1.171, 82.35, 18

---

Copy entry 10 word for word.
Theoretical powder diffractogram
Compound: Pm2Mg2Pt15
Radiation: Cu Kα (λ = 1.5418 Å)
Structure: the GGA-PBE geometry in Alexandria
Kinematic intensities with the Lorentz-polarization factor, no thermal factor.

Structural model:
```
Pm2Mg2Pt15
1.0
4.633 2.675 4.549
-4.633 2.675 4.549
0.000 -5.350 4.549
Pm Mg Pt
2 2 15
Cartesian
0.000 0.000 2.029 Pm
0.000 0.000 11.620 Pm
0.000 0.000 5.439 Mg
0.000 0.000 8.210 Mg
-2.316 -1.337 4.549 Pt
0.000 -2.684 4.418 Pt
-2.324 1.342 4.418 Pt
-1.443 -2.500 6.824 Pt
-2.886 0.000 6.824 Pt
-2.324 -1.342 9.231 Pt
-2.316 1.337 9.099 Pt
1.443 -2.500 6.824 Pt
0.000 2.675 4.549 Pt
-1.443 2.500 6.824 Pt
2.324 1.342 4.418 Pt
2.886 0.000 6.824 Pt
1.443 2.500 6.824 Pt
2.324 -1.342 9.231 Pt
0.000 2.684 9.231 Pt
```

The 8 most intense peaks (2θ from 10° to 90°), low angle first:
d [Å], 2θ (°), I_rel
4.633, 19.16, 50
2.316, 38.88, 32
2.306, 39.06, 100
2.275, 39.62, 39
2.064, 43.86, 78
1.462, 63.63, 21
1.338, 70.39, 24
1.153, 83.93, 24